The following is a simulated powder XRD pattern of BaCaLaSbO6. It was derived from the GGA-PBE geometry in the Materials Project, using Cu Kα.

The 6 most intense peaks (10° ≤ 2θ ≤ 90°), low angle first:
2θ 29.15, rel. 100; 2θ 41.69, rel. 32; 2θ 51.67, rel. 40; 2θ 60.43, rel. 20; 2θ 68.48, rel. 18; 2θ 83.47, rel. 21

Crystal structure
Cell: 6.1277 6.1277 6.1277 Å, 60.00 60.00 60.00°
Fractional coordinates of all 10 atoms:
Ba: 0.0000 0.0000 0.0000
Ca: 0.5000 0.5000 0.5000
La: 0.7500 0.7500 0.7500
Sb: 0.2500 0.2500 0.2500
O: 0.0188 0.0188 0.4812
O: 0.0188 0.4812 0.0188
O: 0.0188 0.4812 0.4812
O: 0.4812 0.0188 0.0188
O: 0.4812 0.0188 0.4812
O: 0.4812 0.4812 0.0188